Entry 1:
Theoretical powder XRD pattern
Compound: Ga2AgTe4
Radiation: Cu Kα (weighted mean of Kα1 and Kα2)
Structure: a cell relaxed with GGA-PBE
Intensities are scaled so that the largest is 100.

Atomic structure:
a b c (Å): 5.8188 5.8188 6.7091
angles (deg): 90.00 90.00 90.00
Fractional positions:
Ga  0.0000  0.5000  0.0000
Ga  0.5000  0.0000  0.0000
Ag  0.0000  0.0000  0.5000
Te  0.2711  0.2711  0.7502
Te  0.2711  0.7289  0.2498
Te  0.7289  0.2711  0.2498
Te  0.7289  0.7289  0.7502

The 10 most intense peaks (2θ from 10° to 80°), by intensity:
25.39°, intensity 100.0; 41.07°, intensity 49.2; 51.50°, intensity 25.4; 46.20°, intensity 19.7; 44.02°, intensity 19.6; 65.71°, intensity 12.0; 78.92°, intensity 11.6; 30.75°, intensity 11.1; 64.02°, intensity 10.9; 72.74°, intensity 9.7


Entry 2:
Theoretical powder XRD pattern
Compound: TlZnP3O9
Radiation: Cu Kα (weighted mean of Kα1 and Kα2)
Structure: a cell relaxed with GGA-PBE
Intensities are scaled so that the largest is 100.

Atomic structure:
a b c (Å): 5.2426 12.1356 13.2632
angles (deg): 90.00 90.00 90.00
Fractional positions:
Tl  0.0279  0.1201  0.2500
Tl  0.0279  0.3799  0.7500
Tl  0.9721  0.6201  0.2500
Tl  0.9721  0.8799  0.7500
Zn  0.0000  0.0000  0.0000
Zn  0.0000  0.0000  0.5000
Zn  0.0000  0.5000  0.0000
Zn  0.0000  0.5000  0.5000
P  0.2470  0.7500  0.0000
P  0.2470  0.7500  0.5000
P  0.4973  0.0867  0.6356
P  0.4973  0.0867  0.8644
P  0.4973  0.4133  0.1356
P  0.4973  0.4133  0.3644
P  0.5027  0.5867  0.6356
P  0.5027  0.5867  0.8644
P  0.5027  0.9133  0.1356
P  0.5027  0.9133  0.3644
P  0.7530  0.2500  0.0000
P  0.7530  0.2500  0.5000
O  0.1012  0.6568  0.0472
O  0.1012  0.6568  0.4528
O  0.1012  0.8432  0.5472
O  0.1012  0.8432  0.9528
O  0.2180  0.0617  0.6257
O  0.2180  0.0617  0.8743
O  0.2180  0.4383  0.1257
O  0.2180  0.4383  0.3743
O  0.3121  0.9996  0.1038
O  0.3121  0.9996  0.3962
O  0.3121  0.5004  0.6038
O  0.3121  0.5004  0.8962
O  0.4411  0.6245  0.7500
O  0.4411  0.8755  0.2500
O  0.4451  0.7041  0.5828
O  0.4451  0.7041  0.9172
O  0.4451  0.7959  0.0828
O  0.4451  0.7959  0.4172
O  0.5549  0.2041  0.5828
O  0.5549  0.2041  0.9172
O  0.5549  0.2959  0.0828
O  0.5549  0.2959  0.4172
O  0.5589  0.1245  0.7500
O  0.5589  0.3755  0.2500
O  0.6879  0.0004  0.6038
O  0.6879  0.0004  0.8962
O  0.6879  0.4996  0.1038
O  0.6879  0.4996  0.3962
O  0.7820  0.5617  0.6257
O  0.7820  0.5617  0.8743
O  0.7820  0.9383  0.1257
O  0.7820  0.9383  0.3743
O  0.8988  0.1568  0.0472
O  0.8988  0.1568  0.4528
O  0.8988  0.3432  0.5472
O  0.8988  0.3432  0.9528

The 10 most intense peaks (2θ from 10° to 80°), by intensity:
23.41°, intensity 100.0; 31.94°, intensity 37.1; 32.45°, intensity 30.6; 24.92°, intensity 29.5; 36.82°, intensity 26.2; 16.06°, intensity 21.3; 16.91°, intensity 21.2; 30.27°, intensity 15.8; 36.99°, intensity 15.4; 34.19°, intensity 14.1


- Which formula does entry 1 have?
  Ga2AgTe4


Repeat the first record exactly.
Theoretical powder XRD pattern
Compound: Ga2AgTe4
Radiation: Cu Kα (weighted mean of Kα1 and Kα2)
Structure: a cell relaxed with GGA-PBE
Intensities are scaled so that the largest is 100.

Atomic structure:
a b c (Å): 5.8188 5.8188 6.7091
angles (deg): 90.00 90.00 90.00
Fractional positions:
Ga  0.0000  0.5000  0.0000
Ga  0.5000  0.0000  0.0000
Ag  0.0000  0.0000  0.5000
Te  0.2711  0.2711  0.7502
Te  0.2711  0.7289  0.2498
Te  0.7289  0.2711  0.2498
Te  0.7289  0.7289  0.7502

The 10 most intense peaks (2θ from 10° to 80°), by intensity:
25.39°, intensity 100.0; 41.07°, intensity 49.2; 51.50°, intensity 25.4; 46.20°, intensity 19.7; 44.02°, intensity 19.6; 65.71°, intensity 12.0; 78.92°, intensity 11.6; 30.75°, intensity 11.1; 64.02°, intensity 10.9; 72.74°, intensity 9.7